1.
Simulated powder X-ray diffraction pattern
Compound: TiBi8WCl2O16
Radiation: Cu Ka
Structure: DFT lattice parameters and positions (GGA+U)
Peak positions follow from Bragg's law for the DFT cell and can differ from measured ones.

Cell and atoms:
Unit cell a=5.501 b=28.795 c=5.637 alpha=90.00 beta=90.00 gamma=90.00
Space group Imm2 (No. 44)
Asymmetric unit:
Ti1 0.000 0.000 0.000 x2
Bi1 0.000 0.089 0.426 x4
Bi2 0.000 0.180 0.004 x4
Bi3 0.000 0.320 0.005 x4
Bi4 0.000 0.409 0.442 x4
W1 0.000 0.500 0.021 x2
Cl1 0.000 0.249 0.510 x4
O1 0.000 0.067 0.056 x4
O2 0.000 0.432 0.058 x4
O3 0.244 0.500 0.291 x4
O4 0.245 0.357 0.264 x8
O5 0.248 0.000 0.302 x4
O6 0.248 0.142 0.261 x8

Main lines, in order of falling intensity (10 to 90 degrees two-theta):
- 3.044 Å, rel. 100, (1 6 1)
- 1.638 Å, rel. 30, (3 6 1)
- 2.750 Å, rel. 21, (2 0 0)
- 1.969 Å, rel. 19, (2 0 2)
- 2.819 Å, rel. 18, (0 0 2)
- 3.798 Å, rel. 16, (1 2 1)
- 3.454 Å, rel. 12, (1 4 1)
- 7.199 Å, rel. 12, (0 4 0)

***

2.
Simulated powder X-ray diffraction pattern
Compound: Sr2LiCoWO6
Radiation: Cu Ka
Structure: DFT lattice parameters and positions (GGA+U)
Peak positions follow from Bragg's law for the DFT cell and can differ from measured ones.

Cell and atoms:
Unit cell a=5.319 b=5.519 c=6.108 alpha=116.40 beta=110.31 gamma=90.54
Space group P-1 (No. 2)
Asymmetric unit:
Sr1 0.191 0.218 0.433 x2
Li1 0.500 0.500 0.000 x1
Co1 0.500 0.000 0.000 x1
W1 0.000 0.500 0.000 x1
O1 0.207 0.183 0.865 x2
O2 0.209 0.670 0.853 x2
O3 0.299 0.674 0.343 x2

Main lines, in order of falling intensity (10 to 90 degrees two-theta):
- 3.156 Å, rel. 100, (1 1 0)
- 2.928 Å, rel. 58, (1 1 -2)
- 2.954 Å, rel. 57, (-1 1 1)
- 2.760 Å, rel. 43, (0 2 -1)
- 4.893 Å, rel. 40, (1 0 0)
- 2.646 Å, rel. 31, (2 0 -1)
- 2.517 Å, rel. 25, (0 0 2)
- 4.840 Å, rel. 25, (0 1 0)

***

3.
Simulated powder X-ray diffraction pattern
Compound: Li3Ni3P4O16
Radiation: Cu Ka
Structure: DFT lattice parameters and positions (GGA+U)
Peak positions follow from Bragg's law for the DFT cell and can differ from measured ones.

Cell and atoms:
Unit cell a=18.622 b=6.464 c=10.378 alpha=90.00 beta=91.00 gamma=90.00
Space group C2/c (No. 15)
Asymmetric unit:
Li1 0.000 0.064 0.250 x4
Li2 0.080 0.344 0.961 x8
Ni1 0.157 0.020 0.752 x8
Ni2 0.250 0.250 0.500 x4
P1 0.080 0.167 0.494 x8
P2 0.198 0.482 0.247 x8
O1 0.013 0.296 0.461 x8
O2 0.075 0.056 0.627 x8
O3 0.086 0.007 0.889 x8
O4 0.145 0.315 0.493 x8
O5 0.150 0.338 0.786 x8
O6 0.152 0.294 0.210 x8
O7 0.242 0.054 0.643 x8
O8 0.245 0.026 0.363 x8

Main lines, in order of falling intensity (10 to 90 degrees two-theta):
- 5.262 Å, rel. 100, (1 1 1)
- 2.743 Å, rel. 62, (0 2 2)
- 6.106 Å, rel. 57, (1 1 0)
- 2.642 Å, rel. 34, (6 0 2)
- 4.496 Å, rel. 30, (2 0 2)
- 2.594 Å, rel. 24, (0 0 4)
- 2.684 Å, rel. 22, (6 0 -2)
- 3.017 Å, rel. 20, (1 1 -3)

***

4.
Simulated powder X-ray diffraction pattern
Compound: MgTi2V2O8
Radiation: Cu Ka
Structure: DFT lattice parameters and positions (GGA+U)
Peak positions follow from Bragg's law for the DFT cell and can differ from measured ones.

Cell and atoms:
Unit cell a=5.649 b=5.652 c=5.811 alpha=105.89 beta=105.13 gamma=116.50
Space group P1 (No. 1)
Asymmetric unit:
Mg1 0.000 0.000 0.000 x1
Ti1 0.715 0.298 0.024 x1
Ti2 0.968 0.009 0.484 x1
V1 0.267 0.715 0.016 x1
V2 0.484 0.489 0.507 x1
O1 0.165 0.444 0.181 x1
O2 0.226 0.424 0.698 x1
O3 0.251 0.033 0.333 x1
O4 0.307 0.013 0.864 x1
O5 0.723 0.991 0.183 x1
O6 0.730 0.942 0.672 x1
O7 0.751 0.556 0.323 x1
O8 0.800 0.531 0.844 x1

Main lines, in order of falling intensity (10 to 90 degrees two-theta):
- 3.481 Å, rel. 100, (1 -1 1)
- 3.451 Å, rel. 95, (-1 1 1)
- 2.528 Å, rel. 45, (2 0 -1)
- 1.755 Å, rel. 38, (3 -1 0)
- 2.561 Å, rel. 35, (1 1 0)
- 2.552 Å, rel. 32, (1 1 -2)
- 2.502 Å, rel. 27, (0 0 2)
- 2.257 Å, rel. 27, (0 2 0)

***

5.
Simulated powder X-ray diffraction pattern
Compound: Li2Fe2CoO6
Radiation: Cu Ka
Structure: DFT lattice parameters and positions (GGA+U)
Peak positions follow from Bragg's law for the DFT cell and can differ from measured ones.

Cell and atoms:
Unit cell a=13.203 b=2.862 c=5.872 alpha=90.00 beta=105.28 gamma=90.00
Space group C2/m (No. 12)
Asymmetric unit:
Li1 0.149 0.000 0.305 x4
Fe1 0.160 0.000 0.833 x4
Co1 0.000 0.500 0.500 x2
O1 0.005 0.000 0.715 x4
O2 0.154 0.500 0.598 x4
O3 0.176 0.500 0.068 x4

Main lines, in order of falling intensity (10 to 90 degrees two-theta):
- 4.926 Å, rel. 100, (2 0 -1)
- 2.048 Å, rel. 37, (1 1 -2)
- 2.449 Å, rel. 22, (1 1 1)
- 2.123 Å, rel. 20, (6 0 0)
- 2.508 Å, rel. 12, (4 0 1)
- 1.496 Å, rel. 10, (7 1 -2)
- 1.453 Å, rel. 10, (5 1 2)
- 1.596 Å, rel. 9, (3 1 -3)

***

6.
Simulated powder X-ray diffraction pattern
Compound: Ba2YW3O7
Radiation: Cu Ka
Structure: DFT lattice parameters and positions (GGA+U)
Peak positions follow from Bragg's law for the DFT cell and can differ from measured ones.

Cell and atoms:
Unit cell a=4.086 b=4.207 c=11.867 alpha=90.00 beta=90.00 gamma=90.00
Space group Pmmm (No. 47)
Asymmetric unit:
Ba1 0.000 0.000 0.184 x2
Y1 0.000 0.000 0.500 x1
W1 0.500 0.500 0.000 x1
W2 0.500 0.500 0.383 x2
O1 0.000 0.500 0.348 x2
O2 0.500 0.000 0.000 x1
O3 0.500 0.000 0.368 x2
O4 0.500 0.500 0.162 x2

Main lines, in order of falling intensity (10 to 90 degrees two-theta):
- 2.931 Å, rel. 100, (1 1 0)
- 2.842 Å, rel. 66, (1 0 3)
- 2.882 Å, rel. 64, (0 1 3)
- 1.845 Å, rel. 28, (1 1 5)
- 1.691 Å, rel. 28, (1 2 3)
- 2.104 Å, rel. 28, (0 2 0)
- 1.667 Å, rel. 26, (2 1 3)
- 2.043 Å, rel. 25, (2 0 0)

***

7.
Simulated powder X-ray diffraction pattern
Compound: PrEuHfMnO6
Radiation: Cu Ka
Structure: DFT lattice parameters and positions (GGA+U)
Peak positions follow from Bragg's law for the DFT cell and can differ from measured ones.

Cell and atoms:
Unit cell a=8.099 b=8.099 c=8.099 alpha=90.00 beta=90.00 gamma=90.00
Space group F-43m (No. 216)
Asymmetric unit:
Pr1 0.000 0.000 0.000 x4
Eu1 0.000 0.000 0.500 x4
Hf1 0.250 0.250 0.750 x4
Mn1 0.250 0.250 0.250 x4
O1 0.001 0.250 0.250 x24

Main lines, in order of falling intensity (10 to 90 degrees two-theta):
- 2.864 Å, rel. 100, (2 2 0)
- 1.653 Å, rel. 40, (4 2 2)
- 2.025 Å, rel. 29, (4 0 0)
- 1.432 Å, rel. 18, (4 4 0)
- 1.281 Å, rel. 17, (6 2 0)
- 4.676 Å, rel. 13, (1 1 1)
- 2.442 Å, rel. 8, (3 1 1)
- 1.169 Å, rel. 6, (4 4 4)